Simulated powder diffraction line list of MnTl2PbBr6 for Cu Kα, 1.54184 Å, from a DFT-relaxed cell (GGA-PBE, Alexandria).

```
10
Lattice="7.8045 0.0000 0.0000 3.7374 6.8552 0.0000 3.7357 2.2217 6.4912" Properties=species:S:1:pos:R:3 pbc="T T T"
Mn 0.0000 0.0000 0.0000
Tl 3.3795 2.0097 1.4321
Tl 11.8982 7.0671 5.0590
Pb 7.6388 4.5384 3.2456
Br 5.2607 6.0362 2.0628
Br 7.4649 6.5679 5.5144
Br 5.9473 2.7584 5.0541
Br 9.3303 6.3184 1.4371
Br 7.8128 2.5089 0.9767
Br 10.0170 3.0406 4.4284
```

Top 8 peaks for 2θ from 10° to 90°, in order of falling intensity:
2θ/deg  intensity
32.09  100
26.45  95
22.30  70
22.79  59
39.13  50
39.43  41
35.67  38
27.50  36